1.
Starting from a DFT-relaxed cell (PBE, Alexandria), the powder diffraction line list of Ti2FePt was simulated for λ = 1.5418 Å (Cu Kα).
No peak broadening, texture or thermal motion is included.

Main lines, most intense first (2θ = 10–80°):
index	2theta	Rel. int.
1 5 1	44.1	100
1 1 1	36.7	63
0 2 1	23.1	50
0 0 2	42.7	40
0 4 1	28.6	34
1 3 0	32.9	30
0 6 0	29.0	28
0 8 0	39.0	26
1 3 1	39.3	21
0 8 1	44.7	20
1 13 1	77.5	17
1 5 3	79.2	17

Structural model:
Cell lengths 3.0378, 18.4690, 4.2330 Å; angles 90.00, 90.00, 90.00 degrees
Space group Cmcm (No. 63)
Unique sites:
1 Ti 0.0000 0.0519 0.2500 (multiplicity 4)
2 Ti 0.0000 0.1898 0.7500 (multiplicity 4)
3 Fe 0.0000 0.4420 0.2500 (multiplicity 4)
4 Pt 0.0000 0.3332 0.7500 (multiplicity 4)

---

2.
Starting from a DFT-relaxed cell (PBE, Alexandria), the powder diffraction line list of Sr2Ga9Ir6 was simulated for λ = 1.5418 Å (Cu Kα).
No peak broadening, texture or thermal motion is included.

Main lines, most intense first (2θ = 10–80°):
index	2theta	Rel. int.
1 0 0	14.4	100
1 1 0	25.1	93
1 1 3	40.4	81
2 0 3	43.1	53
2 2 0	51.6	41
3 0 3	55.1	33
4 1 3	78.8	23
3 0 0	44.3	22
2 1 0	38.8	18
4 0 3	69.4	13
2 1 6	78.2	12
4 1 0	70.3	11

Structural model:
Cell lengths 7.0900, 7.0900, 8.6337 Å; angles 90.00, 90.00, 120.00 degrees
Space group P6/mmm (No. 191)
Unique sites:
1 Sr 0.0000 0.0000 0.2455 (multiplicity 2)
2 Ga 0.0000 0.5000 0.0000 (multiplicity 3)
3 Ga 0.0000 0.5000 0.3345 (multiplicity 6)
4 Ir 0.3333 0.6667 0.1675 (multiplicity 4)
5 Ir 0.3333 0.6667 0.5000 (multiplicity 2)